[1]
Diffraction record for BaBiPd2Pb2. The powder diffractogram is calculated, not measured: it uses a structure optimized by DFT (GGA-PBE) and Cu Kα (weighted mean of Kα1 and Kα2).
Intensities are scaled so that the largest is 100.

a b c (Å): 5.2273 5.2273 6.9093
angles (deg): 90.00 90.00 90.00
Sites, in units of the cell vectors:
Ba  0.0000  0.0000  0.0000
Bi  0.0000  0.0000  0.5000
Pd  0.0000  0.5000  0.5000
Pd  0.5000  0.0000  0.5000
Pb  0.5000  0.5000  0.2624
Pb  0.5000  0.5000  0.7376

Top 10 peaks for 10 to 90 degrees two-theta, by intensity:
| Position (°2θ) | d (Å) | I_rel |
| --- | --- | --- |
| 31.03 | 2.882 | 100 |
| 46.93 | 1.936 | 65 |
| 34.31 | 2.614 | 65 |
| 24.08 | 3.696 | 47 |
| 12.81 | 6.909 | 38 |
| 49.31 | 1.848 | 24 |
| 64.68 | 1.441 | 21 |
| 70.43 | 1.337 | 20 |
| 59.41 | 1.556 | 16 |
| 80.74 | 1.190 | 14 |

***

[2]
Diffraction record for Na3SbTe3. The powder diffractogram is calculated, not measured: it uses a structure optimized by DFT (GGA-PBE) and Cu Kα (weighted mean of Kα1 and Kα2).
Intensities are scaled so that the largest is 100.

a b c (Å): 9.6786 9.6786 9.6786
angles (deg): 90.00 90.00 90.00
Sites, in units of the cell vectors:
Na  0.0899  0.4101  0.5899
Na  0.1726  0.1726  0.1726
Na  0.1827  0.8173  0.3173
Na  0.3173  0.1827  0.8173
Na  0.3274  0.8274  0.6726
Na  0.4101  0.5899  0.0899
Na  0.5899  0.0899  0.4101
Na  0.6726  0.3274  0.8274
Na  0.6827  0.6827  0.6827
Na  0.8173  0.3173  0.1827
Na  0.8274  0.6726  0.3274
Na  0.9101  0.9101  0.9101
Sb  0.0387  0.5387  0.9613
Sb  0.4613  0.4613  0.4613
Sb  0.5387  0.9613  0.0387
Sb  0.9613  0.0387  0.5387
Te  0.0027  0.7596  0.6195
Te  0.1195  0.4973  0.2404
Te  0.2404  0.1195  0.4973
Te  0.2596  0.8805  0.9973
Te  0.3805  0.5027  0.7404
Te  0.4973  0.2404  0.1195
Te  0.5027  0.7404  0.3805
Te  0.6195  0.0027  0.7596
Te  0.7404  0.3805  0.5027
Te  0.7596  0.6195  0.0027
Te  0.8805  0.9973  0.2596
Te  0.9973  0.2596  0.8805

Top 10 peaks for 10 to 90 degrees two-theta, by intensity:
| Position (°2θ) | d (Å) | I_rel |
| --- | --- | --- |
| 29.18 | 3.061 | 100 |
| 22.50 | 3.951 | 71 |
| 34.68 | 2.587 | 54 |
| 41.74 | 2.164 | 36 |
| 47.93 | 1.898 | 36 |
| 58.81 | 1.570 | 33 |
| 15.86 | 5.588 | 27 |
| 71.65 | 1.317 | 26 |
| 43.88 | 2.063 | 18 |
| 45.94 | 1.976 | 14 |

***

[3]
Diffraction record for Hf3Ga3Tc. The powder diffractogram is calculated, not measured: it uses a structure optimized by DFT (GGA-PBE) and Cu Kα (weighted mean of Kα1 and Kα2).
Intensities are scaled so that the largest is 100.

a b c (Å): 5.5149 5.5149 13.9611
angles (deg): 90.00 90.00 143.70
Sites, in units of the cell vectors:
Hf  0.0119  0.9881  0.7500
Hf  0.3251  0.6749  0.5908
Hf  0.3251  0.6749  0.9092
Hf  0.6749  0.3251  0.0908
Hf  0.6749  0.3251  0.4092
Hf  0.9881  0.0119  0.2500
Ga  0.2486  0.7514  0.2500
Ga  0.3949  0.6051  0.1081
Ga  0.3949  0.6051  0.3919
Ga  0.6051  0.3949  0.6081
Ga  0.6051  0.3949  0.8919
Ga  0.7514  0.2486  0.7500
Tc  0.0000  0.0000  0.0000
Tc  0.0000  0.0000  0.5000

Top 10 peaks for 10 to 90 degrees two-theta, by intensity:
| Position (°2θ) | d (Å) | I_rel |
| --- | --- | --- |
| 36.68 | 2.450 | 100 |
| 37.73 | 2.384 | 87 |
| 33.53 | 2.673 | 43 |
| 43.17 | 2.095 | 35 |
| 30.78 | 2.905 | 29 |
| 38.70 | 2.327 | 28 |
| 54.38 | 1.687 | 25 |
| 53.33 | 1.718 | 24 |
| 41.67 | 2.168 | 23 |
| 39.47 | 2.283 | 19 |

***

[4]
Diffraction record for Ce2Cu3Pd. The powder diffractogram is calculated, not measured: it uses a structure optimized by DFT (GGA-PBE) and Cu Kα (weighted mean of Kα1 and Kα2).
Intensities are scaled so that the largest is 100.

a b c (Å): 8.4304 8.4304 8.4304
angles (deg): 153.45 152.95 38.26
Sites, in units of the cell vectors:
Ce  0.0000  0.0000  0.0000
Ce  0.7508  0.2508  0.5000
Cu  0.1636  0.6636  0.5000
Cu  0.4260  0.4260  0.0000
Cu  0.5788  0.5788  0.0000
Pd  0.3239  0.8239  0.5000

Top 10 peaks for 10 to 90 degrees two-theta, by intensity:
| Position (°2θ) | d (Å) | I_rel |
| --- | --- | --- |
| 34.36 | 2.610 | 100 |
| 46.05 | 1.971 | 38 |
| 36.52 | 2.460 | 33 |
| 67.87 | 1.381 | 30 |
| 36.25 | 2.478 | 23 |
| 46.94 | 1.936 | 17 |
| 28.19 | 3.166 | 16 |
| 60.15 | 1.538 | 15 |
| 46.28 | 1.962 | 15 |
| 22.32 | 3.982 | 10 |

***

[5]
Diffraction record for Hf2Ga5Co3. The powder diffractogram is calculated, not measured: it uses a structure optimized by DFT (GGA-PBE) and Cu Kα (weighted mean of Kα1 and Kα2).
Intensities are scaled so that the largest is 100.

a b c (Å): 12.0018 12.0018 6.3180
angles (deg): 90.00 90.00 160.77
Sites, in units of the cell vectors:
Hf  0.0208  0.9792  0.5000
Hf  0.3275  0.6725  0.5452
Hf  0.6725  0.3275  0.0452
Hf  0.9792  0.0208  0.0000
Ga  0.0988  0.9012  0.8525
Ga  0.2055  0.7945  0.3450
Ga  0.2109  0.7891  0.7566
Ga  0.3761  0.6239  0.0107
Ga  0.4487  0.5513  0.6757
Ga  0.5513  0.4487  0.1757
Ga  0.6239  0.3761  0.5107
Ga  0.7891  0.2109  0.2566
Ga  0.7945  0.2055  0.8450
Ga  0.9012  0.0988  0.3525
Co  0.1071  0.8929  0.2367
Co  0.2736  0.7264  0.0546
Co  0.4528  0.5472  0.2794
Co  0.5472  0.4528  0.7794
Co  0.7264  0.2736  0.5546
Co  0.8929  0.1071  0.7367

Top 10 peaks for 10 to 90 degrees two-theta, by intensity:
| Position (°2θ) | d (Å) | I_rel |
| --- | --- | --- |
| 38.02 | 2.367 | 100 |
| 37.60 | 2.392 | 74 |
| 45.25 | 2.004 | 43 |
| 40.71 | 2.216 | 30 |
| 36.43 | 2.466 | 29 |
| 41.05 | 2.199 | 29 |
| 72.58 | 1.303 | 19 |
| 62.48 | 1.487 | 17 |
| 45.73 | 1.984 | 16 |
| 24.92 | 3.574 | 15 |

***

[6]
Diffraction record for CeTh3Sn2. The powder diffractogram is calculated, not measured: it uses a structure optimized by DFT (GGA-PBE) and Cu Kα (weighted mean of Kα1 and Kα2).
Intensities are scaled so that the largest is 100.

a b c (Å): 4.5071 4.5071 9.0378
angles (deg): 90.00 90.00 90.00
Sites, in units of the cell vectors:
Ce  0.0000  0.0000  0.0000
Th  0.0000  0.5000  0.3642
Th  0.5000  0.0000  0.6358
Th  0.5000  0.5000  0.0000
Sn  0.0000  0.5000  0.7275
Sn  0.5000  0.0000  0.2725

Top 10 peaks for 10 to 90 degrees two-theta, by intensity:
| Position (°2θ) | d (Å) | I_rel |
| --- | --- | --- |
| 29.71 | 3.007 | 100 |
| 34.44 | 2.604 | 45 |
| 40.01 | 2.254 | 39 |
| 27.97 | 3.190 | 36 |
| 50.58 | 1.805 | 27 |
| 49.48 | 1.842 | 25 |
| 54.76 | 1.676 | 23 |
| 35.85 | 2.505 | 21 |
| 66.40 | 1.408 | 15 |
| 79.47 | 1.206 | 14 |

***

[7]
Diffraction record for MgSO3. The powder diffractogram is calculated, not measured: it uses a structure optimized by DFT (GGA-PBE) and Cu Kα (weighted mean of Kα1 and Kα2).
Intensities are scaled so that the largest is 100.

a b c (Å): 5.2711 12.6895 8.4339
angles (deg): 90.00 101.51 90.00
Sites, in units of the cell vectors:
Mg  0.0585  0.2483  0.2042
Mg  0.0585  0.2517  0.7042
Mg  0.3762  0.5951  0.0908
Mg  0.3762  0.9049  0.5908
Mg  0.6238  0.0951  0.4092
Mg  0.6238  0.4049  0.9092
Mg  0.9415  0.7483  0.2958
Mg  0.9415  0.7517  0.7958
S  0.0614  0.5057  0.7480
S  0.0614  0.9943  0.2480
S  0.4620  0.1828  0.0371
S  0.4620  0.3172  0.5371
S  0.5380  0.6828  0.4629
S  0.5380  0.8172  0.9629
S  0.9386  0.0057  0.7520
S  0.9386  0.4943  0.2520
O  0.0864  0.5983  0.2252
O  0.0864  0.9017  0.7252
O  0.1018  0.0912  0.6948
O  0.1018  0.4088  0.1948
O  0.2065  0.2389  0.9611
O  0.2065  0.2611  0.4611
O  0.3084  0.5028  0.8857
O  0.3084  0.9972  0.3857
O  0.3184  0.7317  0.9517
O  0.3184  0.7683  0.4517
O  0.4185  0.1771  0.2143
O  0.4185  0.3229  0.7143
O  0.5815  0.6771  0.2857
O  0.5815  0.8229  0.7857
O  0.6816  0.2317  0.5483
O  0.6816  0.2683  0.0483
O  0.6916  0.0028  0.6143
O  0.6916  0.4972  0.1143
O  0.7935  0.7389  0.5389
O  0.7935  0.7611  0.0389
O  0.8982  0.5912  0.8052
O  0.8982  0.9088  0.3052
O  0.9136  0.0983  0.2748
O  0.9136  0.4017  0.7748

Top 10 peaks for 10 to 90 degrees two-theta, by intensity:
| Position (°2θ) | d (Å) | I_rel |
| --- | --- | --- |
| 24.76 | 3.596 | 100 |
| 30.28 | 2.952 | 70 |
| 23.13 | 3.846 | 69 |
| 25.73 | 3.462 | 63 |
| 12.78 | 6.925 | 56 |
| 22.19 | 4.006 | 44 |
| 17.62 | 5.033 | 44 |
| 28.03 | 3.184 | 40 |
| 23.63 | 3.765 | 38 |
| 37.82 | 2.379 | 37 |

***

[8]
Diffraction record for SbRu3. The powder diffractogram is calculated, not measured: it uses a structure optimized by DFT (GGA-PBE) and Cu Kα (weighted mean of Kα1 and Kα2).
Intensities are scaled so that the largest is 100.

a b c (Å): 4.4604 4.4604 4.4604
angles (deg): 60.00 60.00 60.00
Sites, in units of the cell vectors:
Sb  0.0000  0.0000  0.0000
Ru  0.2500  0.2500  0.2500
Ru  0.5000  0.5000  0.5000
Ru  0.7500  0.7500  0.7500

Top 4 peaks for 10 to 90 degrees two-theta, by intensity:
| Position (°2θ) | d (Å) | I_rel |
| --- | --- | --- |
| 40.45 | 2.230 | 100 |
| 73.56 | 1.288 | 33 |
| 58.53 | 1.577 | 17 |
| 87.47 | 1.115 | 11 |